# K2VAgF6
Calculated powder X-ray diffraction pattern, λ = 1.5418 Å (Cu Kα). Input: a DFT-relaxed cell (PBE+U, Alexandria).

Top 12 peaks for 2θ from 5° to 70°, in order of rising 2θ:
- 20.43 deg, I 72
- 28.65 deg, I 99
- 29.44 deg, I 100
- 34.29 deg, I 16
- 41.55 deg, I 84
- 50.25 deg, I 26
- 51.73 deg, I 44
- 52.22 deg, I 19
- 59.32 deg, I 20
- 61.09 deg, I 21
- 67.59 deg, I 17
- 68.83 deg, I 18

Structural model:
```
data_K2VAgF6
_symmetry_space_group_name_H-M 'C 1 2/m 1'
_symmetry_Int_Tables_number 12
_cell_length_a 10.515
_cell_length_b 6.065
_cell_length_c 6.233
_cell_angle_alpha 90.00
_cell_angle_beta 124.14
_cell_angle_gamma 90.00
loop_
_symmetry_equiv_pos_as_xyz
'x,y,z'
'-x,-y,-z'
'-x,y,-z'
'x,-y,z'
'x+1/2,y+1/2,z'
'-x+1/2,-y+1/2,-z'
'-x+1/2,y+1/2,-z'
'x+1/2,-y+1/2,z'
loop_
_atom_site_label
_atom_site_type_symbol
_atom_site_fract_x
_atom_site_fract_y
_atom_site_fract_z
K1 K 0.245 0.000 0.236
V1 V 0.000 0.500 0.000
Ag1 Ag 0.000 0.000 0.500
F1 F 0.048 0.271 0.829
F2 F 0.218 0.500 0.301
```